# 1
Calculated powder X-ray diffraction pattern of Li3Sb3P4O16 for Cu Ka, from a PBE-relaxed structure.
Kinematic intensities with the Lorentz-polarization factor, no thermal factor.

Atomic structure:
a = 6.954 Å, b = 11.162 Å, c = 9.299 Å
α = 90.00°, β = 107.90°, γ = 90.00°
Space group P2_1 (No. 4)
Inequivalent atoms, fractional coordinates:
Li1 0.082 0.000 0.158 (multiplicity 2)
Li2 0.200 0.696 0.413 (multiplicity 2)
Li3 0.347 0.906 0.581 (multiplicity 2)
Sb1 0.071 0.424 0.218 (multiplicity 2)
Sb2 0.363 0.630 0.833 (multiplicity 2)
Sb3 0.371 0.189 0.740 (multiplicity 2)
P1 0.107 0.424 0.585 (multiplicity 2)
P2 0.130 0.719 0.101 (multiplicity 2)
P3 0.345 0.176 0.381 (multiplicity 2)
P4 0.460 0.910 0.898 (multiplicity 2)
O1 0.009 0.155 0.822 (multiplicity 2)
O2 0.058 0.845 0.041 (multiplicity 2)
O3 0.080 0.846 0.452 (multiplicity 2)
O4 0.113 0.508 0.721 (multiplicity 2)
O5 0.121 0.501 0.448 (multiplicity 2)
O6 0.154 0.259 0.323 (multiplicity 2)
O7 0.162 0.636 0.974 (multiplicity 2)
O8 0.238 0.892 0.789 (multiplicity 2)
O9 0.310 0.350 0.638 (multiplicity 2)
O10 0.326 0.109 0.528 (multiplicity 2)
O11 0.337 0.732 0.236 (multiplicity 2)
O12 0.338 0.080 0.260 (multiplicity 2)
O13 0.425 0.452 0.211 (multiplicity 2)
O14 0.455 0.744 0.576 (multiplicity 2)
O15 0.459 0.011 0.015 (multiplicity 2)
O16 0.465 0.292 0.018 (multiplicity 2)

Peak list (8 most intense, 15° ≤ 2θ ≤ 90°, by angle)
(1 1 -1), 16.13°, I = 494; (0 0 2), 20.07°, I = 468; (1 2 0), 20.82°, I = 1000; (2 0 -1), 25.68°, I = 662; (0 3 1), 25.98°, I = 818; (1 1 -3), 30.22°, I = 710; (0 3 2), 31.41°, I = 562; (1 2 2), 31.89°, I = 489

# 2
Calculated powder X-ray diffraction pattern of SrInSb for Cu Ka, from a PBE-relaxed structure.
Kinematic intensities with the Lorentz-polarization factor, no thermal factor.

Atomic structure:
a = 4.683 Å, b = 13.530 Å, c = 6.609 Å
α = 90.00°, β = 90.00°, γ = 90.00°
Space group Cmc2_1 (No. 36)
Inequivalent atoms, fractional coordinates:
Sr1 0.000 0.159 0.000 (multiplicity 4)
In1 0.000 0.465 0.999 (multiplicity 4)
Sb1 0.000 0.164 0.500 (multiplicity 4)

Peak list (8 most intense, 15° ≤ 2θ ≤ 90°, by angle)
(0 2 1), 18.77°, I = 159; (0 0 2), 26.98°, I = 614; (1 3 0), 27.46°, I = 1000; (2 0 0), 38.44°, I = 240; (1 3 2), 38.87°, I = 786; (2 0 2), 47.59°, I = 257; (1 3 4), 63.13°, I = 183; (3 3 2), 69.82°, I = 136

# 3
Calculated powder X-ray diffraction pattern of PrGa2ReO8 for Cu Ka, from a PBE-relaxed structure.
Kinematic intensities with the Lorentz-polarization factor, no thermal factor.

Atomic structure:
a = 7.323 Å, b = 6.353 Å, c = 6.801 Å
α = 90.00°, β = 99.39°, γ = 90.00°
Space group C2/m (No. 12)
Inequivalent atoms, fractional coordinates:
Pr1 0.000 0.000 0.000 (multiplicity 2)
Ga1 0.048 0.500 0.217 (multiplicity 4)
Re1 0.000 0.000 0.500 (multiplicity 2)
O1 0.004 0.208 0.296 (multiplicity 8)
O2 0.173 0.500 0.991 (multiplicity 4)
O3 0.243 0.500 0.446 (multiplicity 4)

Peak list (8 most intense, 15° ≤ 2θ ≤ 90°, by angle)
(1 1 0), 18.60°, I = 617; (2 0 0), 24.64°, I = 1000; (0 2 0), 28.09°, I = 783; (1 1 -2), 30.89°, I = 972; (1 1 2), 34.29°, I = 691; (2 2 0), 37.71°, I = 356; (1 3 -2), 51.49°, I = 288; (3 1 2), 52.26°, I = 292

# 4
Calculated powder X-ray diffraction pattern of In3S4 for Cu Ka, from a PBE-relaxed structure.
Kinematic intensities with the Lorentz-polarization factor, no thermal factor.

Atomic structure:
a = 11.166 Å, b = 11.166 Å, c = 11.166 Å
α = 90.00°, β = 90.00°, γ = 90.00°
Space group Fd-3m (No. 227, origin choice 2)
Inequivalent atoms, fractional coordinates:
In1 0.000 0.000 0.000 (multiplicity 16)
In2 0.125 0.125 0.625 (multiplicity 8)
S1 0.009 0.009 0.241 (multiplicity 32)

Peak list (8 most intense, 15° ≤ 2θ ≤ 90°, by angle)
(2 2 0), 22.52°, I = 276; (3 1 1), 26.47°, I = 1000; (4 0 0), 32.06°, I = 243; (5 1 1), 42.05°, I = 450; (4 4 0), 45.98°, I = 634; (5 3 3), 53.84°, I = 137; (5 5 3), 64.05°, I = 219; (8 4 4), 85.13°, I = 196

# 5
Calculated powder X-ray diffraction pattern of Pm7Er2Sc for Cu Ka, from a PBE-relaxed structure.
Kinematic intensities with the Lorentz-polarization factor, no thermal factor.

Atomic structure:
a = 8.820 Å, b = 16.991 Å, c = 5.319 Å
α = 90.00°, β = 90.00°, γ = 90.00°
Space group Cmmm (No. 65)
Inequivalent atoms, fractional coordinates:
Pm1 0.000 0.000 0.000 (multiplicity 2)
Pm2 0.000 0.301 0.500 (multiplicity 4)
Pm3 0.179 0.392 0.000 (multiplicity 8)
Er1 0.000 0.204 0.000 (multiplicity 4)
Sc1 0.000 0.500 0.500 (multiplicity 2)

Peak list (8 most intense, 15° ≤ 2θ ≤ 90°, by angle)
(0 0 1), 16.67°, I = 614; (2 0 0), 20.15°, I = 253; (2 4 0), 29.19°, I = 339; (1 5 1), 32.88°, I = 1000; (0 0 2), 33.70°, I = 412; (3 1 1), 35.28°, I = 515; (2 4 2), 45.17°, I = 204; (5 5 1), 61.77°, I = 238

# 6
Calculated powder X-ray diffraction pattern of TmPd5Au5 for Cu Ka, from a PBE-relaxed structure.
Kinematic intensities with the Lorentz-polarization factor, no thermal factor.

Atomic structure:
a = 5.696 Å, b = 5.873 Å, c = 6.295 Å
α = 76.55°, β = 78.98°, γ = 89.37°
Space group P-1 (No. 2)
Inequivalent atoms, fractional coordinates:
Tm1 0.000 0.000 0.000 (multiplicity 1)
Pd1 0.163 0.167 0.336 (multiplicity 2)
Pd2 0.164 0.663 0.334 (multiplicity 2)
Pd3 0.500 0.000 0.000 (multiplicity 1)
Au1 0.000 0.500 0.000 (multiplicity 1)
Au2 0.340 0.340 0.680 (multiplicity 2)
Au3 0.343 0.828 0.668 (multiplicity 2)

Peak list (8 most intense, 15° ≤ 2θ ≤ 90°, by angle)
(1 0 1), 19.49°, I = 326; (0 2 -1), 37.95°, I = 508; (2 0 -1), 38.06°, I = 1000; (2 0 2), 39.57°, I = 445; (2 2 1), 44.07°, I = 329; (2 -2 0), 44.58°, I = 321; (0 0 3), 45.29°, I = 305; (4 2 0), 77.04°, I = 125